Diffraction record for Lu4Hf2Si3C3. The powder diffraction line list is calculated, not measured: it uses the GGA-PBE geometry in OQMD and Cu Kα X-rays.
No peak broadening, texture or thermal motion is included.

Crystal structure
abc: 5.9189 5.9189 14.3921
angles: 102.23 102.23 59.95
Atoms (fractional coordinates):
Lu 0.0394 0.1952 0.1003
Lu 0.1262 0.2996 0.3998
Lu 0.1952 0.0394 0.6003
Lu 0.2996 0.1262 0.8998
Lu 0.7004 0.8738 0.1002
Lu 0.8048 0.9606 0.3997
Lu 0.8738 0.7004 0.6002
Lu 0.9606 0.8048 0.8997
Hf 0.3537 0.5270 0.0797
Hf 0.4730 0.6463 0.4203
Hf 0.5270 0.3537 0.5797
Hf 0.6463 0.4730 0.9203
Si 0.1641 0.8359 0.2500
Si 0.3331 0.4165 0.7508
Si 0.4165 0.3331 0.2508
Si 0.5835 0.6669 0.7492
Si 0.6669 0.5835 0.2492
Si 0.8359 0.1641 0.7500
C 0.0000 0.5000 0.0000
C 0.1790 0.6605 0.5000
C 0.3395 0.8210 0.0000
C 0.5000 0.0000 0.5000
C 0.6605 0.1790 0.0000
C 0.8210 0.3395 0.5000

The 10 most intense peaks (2θ = 10–90°), by intensity:
Position (°2θ)  I_rel
36.0  100
30.9  52
35.9  52
12.7  42
30.2  38
53.7  34
25.5  24
38.7  23
66.4  16
68.3  15